1.
Structure and theoretical X-ray diffraction stick pattern of SiTe2Se (a cell relaxed with GGA-PBE; Cu Kα, 1.54184 Å).
No peak broadening, texture or thermal motion is included.

Structure:
a b c (Å): 3.3700 5.7034 13.7878
angles (deg): 90.00 90.00 90.00
Space group Imm2 (No. 44)
Inequivalent atoms, fractional coordinates:
Si 0.0000 0.0000 0.0000 [2 per cell]
Te 0.0000 0.0000 0.6024 [2 per cell]
Te 0.0000 0.5000 0.6700 [2 per cell]
Se 0.0000 0.5000 0.3832 [2 per cell]

Peak list (8 most intense, 2θ = 5–70°, by intensity)
12.84°, rel. 100
24.88°, rel. 94
27.24°, rel. 87
31.37°, rel. 73
32.96°, rel. 62
42.02°, rel. 54
46.14°, rel. 47
40.65°, rel. 46

---

2.
Structure and theoretical X-ray diffraction stick pattern of Th8Si3TeSe4 (a cell relaxed with GGA-PBE; Cu Kα, 1.54184 Å).
No peak broadening, texture or thermal motion is included.

Structure:
a b c (Å): 8.5934 8.5934 20.7101
angles (deg): 90.00 90.00 120.00
Space group R-3m (No. 166, hexagonal axes)
Inequivalent atoms, fractional coordinates:
Th 0.0000 0.0000 0.2444 [6 per cell]
Th 0.0187 0.5094 0.7515 [18 per cell]
Si 0.0000 0.5000 0.5000 [9 per cell]
Te 0.0000 0.0000 0.5000 [3 per cell]
Se 0.0000 0.0000 0.0000 [3 per cell]
Se 0.0000 0.5000 0.0000 [9 per cell]

Peak list (8 most intense, 2θ = 5–70°, by intensity)
29.56°, rel. 100
25.44°, rel. 41
42.06°, rel. 38
42.54°, rel. 37
52.25°, rel. 20
69.22°, rel. 17
69.92°, rel. 16
25.81°, rel. 13

---

3.
Structure and theoretical X-ray diffraction stick pattern of Th5SiSe4 (a cell relaxed with GGA-PBE; Cu Kα, 1.54184 Å).
No peak broadening, texture or thermal motion is included.

Structure:
a b c (Å): 4.2647 5.9603 20.8994
angles (deg): 90.00 90.00 90.00
Space group Immm (No. 71)
Inequivalent atoms, fractional coordinates:
Th 0.0000 0.0000 0.0000 [2 per cell]
Th 0.0000 0.0000 0.2014 [4 per cell]
Th 0.0000 0.0000 0.4034 [4 per cell]
Si 0.0000 0.5000 0.0000 [2 per cell]
Se 0.0000 0.5000 0.1993 [4 per cell]
Se 0.0000 0.5000 0.3993 [4 per cell]

Peak list (8 most intense, 2θ = 5–70°, by intensity)
29.95°, rel. 100
42.88°, rel. 51
25.69°, rel. 26
26.04°, rel. 25
52.79°, rel. 14
53.56°, rel. 13
42.39°, rel. 13
43.29°, rel. 12

---

4.
Structure and theoretical X-ray diffraction stick pattern of Th4SiSe3 (a cell relaxed with GGA-PBE; Cu Kα, 1.54184 Å).
No peak broadening, texture or thermal motion is included.

Structure:
a b c (Å): 7.2927 8.4543 7.3456
angles (deg): 90.00 109.41 90.00
Space group P2/c (No. 13)
Inequivalent atoms, fractional coordinates:
Th 0.2391 0.1196 0.9999 [4 per cell]
Th 0.2453 0.3701 0.4943 [4 per cell]
Si 0.0000 0.1265 0.2500 [2 per cell]
Se 0.0000 0.3751 0.7500 [2 per cell]
Se 0.5000 0.1253 0.7500 [2 per cell]
Se 0.5000 0.3747 0.2500 [2 per cell]

Peak list (8 most intense, 2θ = 5–70°, by intensity)
29.90°, rel. 100
25.85°, rel. 40
42.71°, rel. 38
42.92°, rel. 25
25.72°, rel. 14
50.70°, rel. 14
53.08°, rel. 13
42.78°, rel. 13

---

5.
Structure and theoretical X-ray diffraction stick pattern of Th3SiSe3 (a cell relaxed with GGA-PBE; Cu Kα, 1.54184 Å).
No peak broadening, texture or thermal motion is included.

Structure:
a b c (Å): 8.3956 8.4962 11.8906
angles (deg): 90.00 90.00 90.00
Space group Imma (No. 74)
Inequivalent atoms, fractional coordinates:
Th 0.0000 0.2500 0.0056 [4 per cell]
Th 0.2500 0.0112 0.2500 [8 per cell]
Si 0.0000 0.2500 0.2516 [4 per cell]
Se 0.0000 0.2500 0.7486 [4 per cell]
Se 0.2499 0.0000 0.0000 [8 per cell]

Peak list (8 most intense, 2θ = 5–70°, by intensity)
29.92°, rel. 100
42.93°, rel. 75
30.06°, rel. 50
12.91°, rel. 39
25.98°, rel. 25
25.78°, rel. 25
53.44°, rel. 20
52.98°, rel. 20

---

6.
Structure and theoretical X-ray diffraction stick pattern of Tl3SiSe4 (a cell relaxed with GGA-PBE; Cu Kα, 1.54184 Å).
No peak broadening, texture or thermal motion is included.

Structure:
a b c (Å): 9.3467 10.8076 9.5794
angles (deg): 90.00 90.00 90.00
Space group Pnma (No. 62)
Inequivalent atoms, fractional coordinates:
Tl 0.0781 0.2500 0.1138 [4 per cell]
Tl 0.0859 0.5574 0.3054 [8 per cell]
Si 0.2021 0.2500 0.5326 [4 per cell]
Se 0.0222 0.7500 0.5644 [4 per cell]
Se 0.1696 0.2500 0.7717 [4 per cell]
Se 0.1724 0.5751 0.9745 [8 per cell]

Peak list (8 most intense, 2θ = 5–70°, by intensity)
31.34°, rel. 100
21.15°, rel. 61
33.99°, rel. 47
26.43°, rel. 39
29.16°, rel. 34
38.28°, rel. 33
32.75°, rel. 32
22.42°, rel. 31

---

7.
Structure and theoretical X-ray diffraction stick pattern of Tl2SiSe (a cell relaxed with GGA-PBE; Cu Kα, 1.54184 Å).
No peak broadening, texture or thermal motion is included.

Structure:
a b c (Å): 3.5473 3.5473 28.8874
angles (deg): 90.00 90.00 120.00
Space group R3m (No. 160, hexagonal axes)
Inequivalent atoms, fractional coordinates:
Tl 0.0000 0.0000 0.0000 [3 per cell]
Tl 0.0000 0.0000 0.2347 [3 per cell]
Si 0.0000 0.0000 0.4848 [3 per cell]
Se 0.0000 0.0000 0.7683 [3 per cell]

Peak list (8 most intense, 2θ = 5–70°, by intensity)
31.65°, rel. 100
38.47°, rel. 45
33.02°, rel. 42
9.18°, rel. 41
27.79°, rel. 34
51.53°, rel. 28
29.23°, rel. 28
50.70°, rel. 25

---

8.
Structure and theoretical X-ray diffraction stick pattern of Tm2SiSe (a cell relaxed with GGA-PBE; Cu Kα, 1.54184 Å).
No peak broadening, texture or thermal motion is included.

Structure:
a b c (Å): 4.0487 4.0487 20.1100
angles (deg): 90.00 90.00 120.00
Space group R-3m (No. 166, hexagonal axes)
Inequivalent atoms, fractional coordinates:
Tm 0.0000 0.0000 0.2448 [6 per cell]
Si 0.0000 0.0000 0.5000 [3 per cell]
Se 0.0000 0.0000 0.0000 [3 per cell]

Peak list (8 most intense, 2θ = 5–70°, by intensity)
31.10°, rel. 100
26.93°, rel. 37
44.77°, rel. 37
44.34°, rel. 36
55.51°, rel. 19
26.60°, rel. 12
64.84°, rel. 12
52.83°, rel. 12